# 1
Calculated X-ray powder pattern of ZrCu2Se for Cu Kα (weighted mean of Kα1 and Kα2), from a cell relaxed with PBE.
Lines closer than 0.1° are merged.

Cell and atoms:
a b c (Å): 7.5074 3.6401 5.6640
angles (deg): 90.00 108.49 90.00
Space group Cm (No. 8)
Inequivalent atoms, fractional coordinates:
Zr 0.0000 0.0000 0.0000 (multiplicity 2)
Cu 0.2081 0.5000 0.3865 (multiplicity 2)
Cu 0.3700 0.0000 0.2577 (multiplicity 2)
Se 0.2422 0.0000 0.7085 (multiplicity 2)

Peak list (10 most intense, 2θ = 5–70°, sorted by position)
- hkl 2 0 -1, 25.25°, d 3.527, intensity 29
- hkl 1 1 0, 27.52°, d 3.241, intensity 16
- hkl 1 1 -1, 30.08°, d 2.971, intensity 25
- hkl 2 0 1, 34.33°, d 2.612, intensity 100
- hkl 2 0 -2, 34.89°, d 2.572, intensity 17
- hkl 1 1 -2, 40.40°, d 2.232, intensity 89
- hkl 3 1 -1, 44.18°, d 2.050, intensity 49
- hkl 3 1 0, 45.63°, d 1.988, intensity 27
- hkl 2 0 2, 48.50°, d 1.877, intensity 23
- hkl 0 2 0, 50.12°, d 1.820, intensity 29



# 2
Calculated X-ray powder pattern of Cu5Si for Cu Kα (weighted mean of Kα1 and Kα2), from a cell relaxed with PBE.
Lines closer than 0.1° are merged.

Cell and atoms:
a b c (Å): 4.0765 2.8262 12.5958
angles (deg): 90.00 90.00 90.00
Space group Amm2 (No. 38)
Inequivalent atoms, fractional coordinates:
Cu 0.0000 0.0000 0.0000 (multiplicity 2)
Cu 0.0000 0.0000 0.3286 (multiplicity 2)
Cu 0.5000 0.0000 0.1291 (multiplicity 2)
Cu 0.5000 0.0000 0.4591 (multiplicity 2)
Cu 0.5000 0.0000 0.7946 (multiplicity 2)
Si 0.0000 0.0000 0.6630 (multiplicity 2)

Peak list (10 most intense, 2θ = 5–70°, sorted by position)
- hkl 0 0 2, 14.06°, d 6.298, intensity 4
- hkl 1 0 2, 26.04°, d 3.422, intensity 2
- hkl 0 1 3, 38.39°, d 2.344, intensity 11
- hkl 0 0 6, 43.09°, d 2.099, intensity 19
- hkl 2 0 0, 44.45°, d 2.038, intensity 28
- hkl 1 1 3, 44.58°, d 2.032, intensity 100
- hkl 1 0 6, 48.79°, d 1.866, intensity 17
- hkl 2 1 3, 60.16°, d 1.538, intensity 5
- hkl 2 0 6, 63.63°, d 1.462, intensity 11
- hkl 0 2 0, 66.13°, d 1.413, intensity 8



# 3
Calculated X-ray powder pattern of Cu7Si5 for Cu Kα (weighted mean of Kα1 and Kα2), from a cell relaxed with PBE.
Lines closer than 0.1° are merged.

Cell and atoms:
a b c (Å): 7.5706 7.5706 5.8806
angles (deg): 90.00 90.00 90.00
Space group I4mm (No. 107)
Inequivalent atoms, fractional coordinates:
Cu 0.0000 0.0000 0.0000 (multiplicity 2)
Cu 0.0000 0.2368 0.3206 (multiplicity 8)
Cu 0.0000 0.5000 0.0654 (multiplicity 4)
Si 0.0000 0.0000 0.6172 (multiplicity 2)
Si 0.2332 0.2332 0.0344 (multiplicity 8)

Peak list (10 most intense, 2θ = 5–70°, sorted by position)
- hkl 1 0 1, 19.11°, d 4.644, intensity 32
- hkl 2 0 0, 23.50°, d 3.785, intensity 10
- hkl 2 1 1, 30.46°, d 2.934, intensity 40
- hkl 1 1 2, 34.81°, d 2.577, intensity 5
- hkl 2 0 2, 38.80°, d 2.321, intensity 6
- hkl 2 2 2, 45.86°, d 1.979, intensity 100
- hkl 1 0 3, 47.94°, d 1.898, intensity 12
- hkl 4 0 0, 48.07°, d 1.893, intensity 36
- hkl 0 0 4, 63.25°, d 1.470, intensity 5
- hkl 5 0 1, 63.42°, d 1.467, intensity 5



# 4
Calculated X-ray powder pattern of Cu23Si6 for Cu Kα (weighted mean of Kα1 and Kα2), from a cell relaxed with PBE.
Lines closer than 0.1° are merged.

Cell and atoms:
a b c (Å): 11.4887 11.4887 11.4887
angles (deg): 90.00 90.00 90.00
Space group Fm-3m (No. 225)
Inequivalent atoms, fractional coordinates:
Cu 0.0000 0.0000 0.0000 (multiplicity 4)
Cu 0.0000 0.1715 0.1715 (multiplicity 48)
Cu 0.1287 0.1287 0.3713 (multiplicity 32)
Cu 0.2500 0.2500 0.2500 (multiplicity 8)
Si 0.0000 0.0000 0.2789 (multiplicity 24)

Peak list (10 most intense, 2θ = 5–70°, sorted by position)
- hkl 4 2 0, 34.93°, d 2.569, intensity 9
- hkl 4 2 2, 38.38°, d 2.345, intensity 22
- hkl 3 3 3, 40.81°, d 2.211, intensity 100
- hkl 4 4 0, 44.62°, d 2.031, intensity 31
- hkl 5 3 1, 46.78°, d 1.942, intensity 26
- hkl 6 0 0, 47.48°, d 1.915, intensity 21
- hkl 6 2 2, 52.86°, d 1.732, intensity 12
- hkl 8 0 0, 64.93°, d 1.436, intensity 5
- hkl 8 2 0, 67.19°, d 1.393, intensity 4
- hkl 6 6 0, 69.41°, d 1.354, intensity 20



# 5
Calculated X-ray powder pattern of Cu3Si23 for Cu Kα (weighted mean of Kα1 and Kα2), from a cell relaxed with PBE.
Lines closer than 0.1° are merged.

Cell and atoms:
a b c (Å): 10.1499 10.1499 10.1499
angles (deg): 90.00 90.00 90.00
Space group Pm-3n (No. 223)
Inequivalent atoms, fractional coordinates:
Cu 0.0000 0.2500 0.5000 (multiplicity 6)
Si 0.0000 0.3102 0.1163 (multiplicity 24)
Si 0.0000 0.5000 0.2500 (multiplicity 6)
Si 0.1840 0.1840 0.1840 (multiplicity 16)

Peak list (10 most intense, 2θ = 5–70°, sorted by position)
- hkl 3 1 0, 27.80°, d 3.210, intensity 17
- hkl 2 2 2, 30.51°, d 2.930, intensity 76
- hkl 3 2 0, 31.79°, d 2.815, intensity 72
- hkl 3 2 1, 33.02°, d 2.713, intensity 100
- hkl 4 0 0, 35.37°, d 2.537, intensity 20
- hkl 4 1 0, 36.50°, d 2.462, intensity 18
- hkl 5 3 0, 52.58°, d 1.741, intensity 68
- hkl 5 3 1, 53.40°, d 1.716, intensity 15
- hkl 6 0 0, 54.22°, d 1.692, intensity 21
- hkl 5 3 2, 55.84°, d 1.647, intensity 43



# 6
Calculated X-ray powder pattern of CuSi3 for Cu Kα (weighted mean of Kα1 and Kα2), from a cell relaxed with PBE.
Lines closer than 0.1° are merged.

Cell and atoms:
a b c (Å): 6.1051 6.1051 6.1051
angles (deg): 90.00 90.00 90.00
Space group Fm-3m (No. 225)
Inequivalent atoms, fractional coordinates:
Cu 0.0000 0.0000 0.0000 (multiplicity 4)
Si 0.0000 0.0000 0.5000 (multiplicity 4)
Si 0.2500 0.2500 0.2500 (multiplicity 8)

Peak list (8 most intense, 2θ = 5–70°, sorted by position)
- hkl 1 1 1, 25.27°, d 3.525, intensity 17
- hkl 2 0 0, 29.26°, d 3.053, intensity 9
- hkl 2 2 0, 41.85°, d 2.158, intensity 100
- hkl 3 1 1, 49.52°, d 1.841, intensity 8
- hkl 2 2 2, 51.88°, d 1.762, intensity 2
- hkl 4 0 0, 60.68°, d 1.526, intensity 16
- hkl 3 3 1, 66.79°, d 1.401, intensity 3
- hkl 4 2 0, 68.77°, d 1.365, intensity 3